Diffraction record for Sc5Mo4. The X-ray diffraction stick pattern is simulated, not measured: it uses DFT lattice parameters and positions (GGA-PBE) and Cu Ka.

a = 8.2669 Å, b = 8.2669 Å, c = 5.8636 Å
α = 90.00°, β = 90.00°, γ = 120.00°
Space group P6_3/mcm (No. 193)
Asymmetric unit:
Sc  0.0000  0.3618  0.2500 (multiplicity 6)
Sc  0.3333  0.6667  0.0000 (multiplicity 4)
Mo  0.0000  0.0000  0.0000 (multiplicity 2)
Mo  0.0000  0.2762  0.7500 (multiplicity 6)

Most intense lines, 15° ≤ 2θ ≤ 90°, low angle first:
| 2θ/deg | I_rel |
| --- | --- |
| 26.38 | 12.0 |
| 36.57 | 27.6 |
| 37.65 | 100.0 |
| 45.65 | 9.2 |
| 54.31 | 15.0 |
| 58.34 | 8.3 |
| 68.01 | 10.5 |
| 76.22 | 10.6 |

Diffraction record for CdCu7Au12. The X-ray diffraction stick pattern is simulated, not measured: it uses DFT lattice parameters and positions (GGA-PBE) and Cu Ka.

a = 11.8215 Å, b = 11.8215 Å, c = 8.2388 Å
α = 90.00°, β = 90.00°, γ = 120.00°
Space group R-3 (No. 148, hexagonal axes)
Asymmetric unit:
Cd  0.0000  0.0000  0.0000 (multiplicity 3)
Cu  0.0000  0.0000  0.5000 (multiplicity 3)
Cu  0.0646  0.2492  0.9130 (multiplicity 18)
Au  0.0502  0.2112  0.2332 (multiplicity 18)
Au  0.0561  0.2435  0.5861 (multiplicity 18)

Most intense lines, 15° ≤ 2θ ≤ 90°, low angle first:
| 2θ/deg | I_rel |
| --- | --- |
| 31.73 | 33.1 |
| 33.38 | 15.5 |
| 36.06 | 37.3 |
| 40.37 | 100.0 |
| 42.24 | 49.0 |
| 45.06 | 33.4 |
| 66.42 | 19.3 |
| 82.45 | 19.4 |